1.
Structure and calculated PXRD pattern of Pr5NdGe4 (the PBE geometry in Alexandria; Cu Kα, 1.54184 Å).

Cell and atoms:
```
10
Lattice="7.960 -2.606 0.000 7.960 2.606 0.000 -0.030 0.000 7.101" Properties=species:S:1:pos:R:3 pbc="T T T"
Pr 0.000 0.000 0.000
Pr 5.336 0.000 0.054
Pr 5.315 0.000 3.495
Pr 10.575 0.000 3.606
Pr 10.553 0.000 7.046
Nd -0.015 0.000 3.550
Ge 2.803 0.000 5.322
Ge 7.783 0.000 5.312
Ge 8.106 0.000 1.788
Ge 13.087 0.000 1.778
```

Principal peaks in the range 5 to 70 degrees two-theta, low angle first:
d = 3.718 Å, 23.93°, intensity 62.1
d = 3.550 Å, 25.08°, intensity 26.8
d = 2.653 Å, 33.78°, intensity 53.8
d = 2.606 Å, 34.41°, intensity 52.6
d = 2.572 Å, 34.89°, intensity 100.0
d = 2.564 Å, 35.00°, intensity 98.9
d = 1.859 Å, 48.99°, intensity 37.6
d = 1.775 Å, 51.48°, intensity 16.4
d = 1.517 Å, 61.08°, intensity 18.1
d = 1.513 Å, 61.29°, intensity 17.8
d = 1.497 Å, 61.98°, intensity 37.4
d = 1.467 Å, 63.40°, intensity 17.4



2.
Structure and calculated PXRD pattern of Be2CrP (the PBE geometry in Alexandria; Cu Kα, 1.54184 Å).

Cell and atoms:
```
4
Lattice="3.042 0.000 0.000 0.000 3.042 0.000 0.000 0.000 4.434" Properties=species:S:1:pos:R:3 pbc="T T T"
Be 0.000 0.000 1.073
Be 0.000 0.000 3.361
Cr 1.521 1.521 0.000
P 1.521 1.521 2.217
```

Principal peaks in the range 5 to 70 degrees two-theta, low angle first:
d = 4.434 Å, 20.02°, intensity 13.0
d = 3.042 Å, 29.36°, intensity 100.0
d = 2.508 Å, 35.80°, intensity 11.4
d = 2.217 Å, 40.69°, intensity 19.6
d = 2.151 Å, 42.01°, intensity 62.7
d = 1.935 Å, 46.95°, intensity 5.5
d = 1.792 Å, 50.97°, intensity 67.4
d = 1.544 Å, 59.92°, intensity 22.3
d = 1.521 Å, 60.91°, intensity 19.0
d = 1.439 Å, 64.81°, intensity 1.7
d = 1.360 Å, 69.04°, intensity 13.9



3.
Structure and calculated PXRD pattern of FeBiI (the PBE geometry in Alexandria; Cu Kα, 1.54184 Å).

Cell and atoms:
```
6
Lattice="6.738 0.000 0.000 0.000 4.049 0.000 -0.211 0.000 6.815" Properties=species:S:1:pos:R:3 pbc="T T T"
Fe 0.000 0.000 0.000
Fe 0.430 2.025 1.257
Bi 0.924 2.025 5.401
Bi 2.083 0.000 1.817
I 4.024 0.000 6.278
I 5.411 2.025 3.067
```

Principal peaks in the range 5 to 70 degrees two-theta, low angle first:
d = 6.735 Å, 13.15°, intensity 33.6
d = 3.476 Å, 25.63°, intensity 71.1
d = 3.407 Å, 26.15°, intensity 18.9
d = 3.113 Å, 28.68°, intensity 59.5
d = 3.075 Å, 29.04°, intensity 100.0
d = 3.057 Å, 29.22°, intensity 19.6
d = 3.003 Å, 29.75°, intensity 24.0
d = 2.983 Å, 29.96°, intensity 38.9
d = 2.086 Å, 43.39°, intensity 30.5
d = 2.025 Å, 44.76°, intensity 23.9
d = 1.981 Å, 45.80°, intensity 34.4
d = 1.963 Å, 46.24°, intensity 35.7



4.
Structure and calculated PXRD pattern of TiReP3O12 (the PBE geometry in Alexandria; Cu Kα, 1.54184 Å).

Cell and atoms:
```
34
Lattice="4.326 2.498 7.323 -4.326 2.498 7.323 0.000 -4.995 7.323" Properties=species:S:1:pos:R:3 pbc="T T T"
Ti 0.000 0.000 0.000
Ti 0.000 0.000 10.984
Re 0.000 0.000 4.766
Re 0.000 0.000 15.750
P -1.224 -2.869 9.708
P -2.454 -0.003 13.369
P -1.872 2.494 9.708
P 1.230 -2.123 13.369
P 3.096 0.374 9.708
P 1.224 2.127 13.369
O -1.559 -0.234 5.923
O -0.625 -3.535 8.480
O -1.022 -3.732 10.990
O -3.349 -1.226 13.566
O -2.749 2.309 8.480
O -0.613 -1.482 9.904
O 0.982 -1.233 5.923
O -1.577 -0.189 12.141
O -2.721 2.751 10.990
O -0.977 1.272 9.904
O 0.577 1.467 5.923
O -1.605 0.254 14.651
O -0.982 -1.233 16.907
O 0.952 -1.271 12.141
O 0.583 -1.517 14.651
O 1.590 0.210 9.904
O 0.625 1.460 12.141
O 2.736 -2.287 13.566
O -0.577 1.467 16.907
O 3.374 1.227 8.480
O 1.022 1.263 14.651
O 0.613 3.513 13.566
O 1.559 -0.234 16.907
O 3.743 0.981 10.990
```

Principal peaks in the range 5 to 70 degrees two-theta, low angle first:
d = 6.190 Å, 14.31°, intensity 100.0
d = 4.430 Å, 20.05°, intensity 95.2
d = 4.326 Å, 20.53°, intensity 68.0
d = 3.725 Å, 23.89°, intensity 41.7
d = 3.095 Å, 28.85°, intensity 57.2
d = 2.795 Å, 32.02°, intensity 49.4
d = 2.742 Å, 32.65°, intensity 20.6
d = 2.517 Å, 35.67°, intensity 30.0
d = 2.498 Å, 35.96°, intensity 23.0
d = 1.971 Å, 46.04°, intensity 19.9
d = 1.944 Å, 46.73°, intensity 18.7
d = 1.736 Å, 52.73°, intensity 18.6



5.
Structure and calculated PXRD pattern of Pr3Ho5 (the PBE geometry in Alexandria; Cu Kα, 1.54184 Å).

Cell and atoms:
```
8
Lattice="3.602 0.000 0.000 0.000 3.602 0.000 0.000 0.000 20.303" Properties=species:S:1:pos:R:3 pbc="T T T"
Pr 0.000 0.000 0.000
Pr 1.801 1.801 7.587
Pr 1.801 1.801 12.716
Ho 0.000 0.000 5.017
Ho 0.000 0.000 10.152
Ho 0.000 0.000 15.286
Ho 1.801 1.801 2.562
Ho 1.801 1.801 17.741
```

Principal peaks in the range 5 to 70 degrees two-theta, low angle first:
d = 6.768 Å, 13.08°, intensity 0.5
d = 2.937 Å, 30.43°, intensity 100.0
d = 2.547 Å, 35.24°, intensity 34.0
d = 2.538 Å, 35.37°, intensity 16.7
d = 1.799 Å, 50.76°, intensity 36.1
d = 1.535 Å, 60.28°, intensity 28.8
d = 1.531 Å, 60.45°, intensity 14.1
d = 1.469 Å, 63.33°, intensity 12.3



6.
Structure and calculated PXRD pattern of Pr5GaSb2 (the PBE geometry in Alexandria; Cu Kα, 1.54184 Å).

Cell and atoms:
```
16
Lattice="3.112 -6.732 0.000 3.112 6.732 0.000 0.000 0.000 14.388" Properties=species:S:1:pos:R:3 pbc="T T T"
Pr 3.112 5.968 8.902
Pr 3.112 5.968 12.679
Pr 3.112 2.620 3.597
Pr 3.112 1.943 8.182
Pr 3.112 1.943 13.399
Pr 3.112 -1.943 0.988
Pr 3.112 -1.943 6.205
Pr 3.112 -2.620 10.791
Pr 3.112 -5.968 1.708
Pr 3.112 -5.968 5.485
Ga 3.112 3.628 10.791
Ga 3.112 -3.628 3.597
Sb 3.112 4.415 1.049
Sb 3.112 4.415 6.145
Sb 3.112 -4.415 8.242
Sb 3.112 -4.415 13.339
```

Principal peaks in the range 5 to 70 degrees two-theta, low angle first:
d = 3.906 Å, 22.77°, intensity 61.4
d = 3.529 Å, 25.24°, intensity 28.1
d = 3.172 Å, 28.13°, intensity 24.1
d = 3.112 Å, 28.69°, intensity 100.0
d = 3.034 Å, 29.44°, intensity 32.9
d = 2.900 Å, 30.84°, intensity 34.1
d = 2.755 Å, 32.50°, intensity 75.6
d = 2.434 Å, 36.93°, intensity 46.1
d = 2.398 Å, 37.51°, intensity 26.0
d = 2.220 Å, 40.64°, intensity 29.9
d = 2.063 Å, 43.89°, intensity 65.6
d = 1.899 Å, 47.89°, intensity 25.7



7.
Structure and calculated PXRD pattern of CoRh2 (the PBE geometry in Alexandria; Cu Kα, 1.54184 Å).

Cell and atoms:
```
3
Lattice="2.672 0.000 0.000 -1.336 2.314 0.000 0.000 0.000 6.444" Properties=species:S:1:pos:R:3 pbc="T T T"
Co 0.000 0.000 0.000
Rh 0.000 1.542 2.078
Rh 1.336 0.771 4.366
```

Principal peaks in the range 5 to 70 degrees two-theta, low angle first:
d = 6.444 Å, 13.74°, intensity 6.3
d = 3.222 Å, 27.69°, intensity 5.9
d = 2.314 Å, 38.93°, intensity 2.9
d = 2.178 Å, 41.47°, intensity 100.0
d = 2.148 Å, 42.06°, intensity 29.8
d = 1.879 Å, 48.44°, intensity 60.1
d = 1.574 Å, 58.65°, intensity 3.0



8.
Structure and calculated PXRD pattern of CeNbAl2 (the PBE geometry in Alexandria; Cu Kα, 1.54184 Å).

Cell and atoms:
```
4
Lattice="3.545 0.000 0.000 0.000 3.545 0.000 0.000 0.000 6.528" Properties=species:S:1:pos:R:3 pbc="T T T"
Ce 0.000 0.000 0.000
Nb 0.000 0.000 3.264
Al 1.773 1.773 1.972
Al 1.773 1.773 4.556
```

Principal peaks in the range 5 to 70 degrees two-theta, low angle first:
d = 3.545 Å, 25.12°, intensity 60.2
d = 3.264 Å, 27.32°, intensity 27.6
d = 3.115 Å, 28.65°, intensity 9.7
d = 2.507 Å, 35.82°, intensity 61.3
d = 2.401 Å, 37.45°, intensity 100.0
d = 1.988 Å, 45.63°, intensity 27.3
d = 1.773 Å, 51.56°, intensity 21.3
d = 1.585 Å, 58.19°, intensity 11.7
d = 1.558 Å, 59.33°, intensity 12.4
d = 1.483 Å, 62.67°, intensity 13.8
d = 1.426 Å, 65.45°, intensity 38.0
d = 1.368 Å, 68.62°, intensity 13.3



9.
Structure and calculated PXRD pattern of Sr2LiCoH6 (the PBE geometry in Alexandria; Cu Kα, 1.54184 Å).

Cell and atoms:
```
10
Lattice="5.254 0.000 0.000 -2.627 4.550 0.000 0.000 0.000 4.648" Properties=species:S:1:pos:R:3 pbc="T T T"
Sr 0.000 3.033 1.271
Sr 2.627 1.517 3.377
Li 0.000 0.000 0.000
Co 0.000 0.000 2.324
H 0.000 1.378 3.308
H -1.433 3.861 3.308
H 1.194 0.689 1.339
H 1.433 3.861 3.308
H 4.060 0.689 1.339
H 2.627 3.172 1.339
```

Principal peaks in the range 5 to 70 degrees two-theta, low angle first:
d = 4.648 Å, 19.10°, intensity 12.5
d = 3.251 Å, 27.43°, intensity 100.0
d = 2.627 Å, 34.13°, intensity 67.6
d = 2.287 Å, 39.40°, intensity 10.5
d = 2.069 Å, 43.74°, intensity 27.9
d = 2.043 Å, 44.33°, intensity 29.2
d = 1.741 Å, 52.58°, intensity 6.9
d = 1.626 Å, 56.62°, intensity 13.4
d = 1.613 Å, 57.11°, intensity 24.9
d = 1.517 Å, 61.10°, intensity 12.1
d = 1.466 Å, 63.43°, intensity 10.2
d = 1.382 Å, 67.79°, intensity 14.8



10.
Structure and calculated PXRD pattern of Pm2PrTm3Se6 (the PBE geometry in Alexandria; Cu Kα, 1.54184 Å).

Cell and atoms:
```
12
Lattice="9.068 -2.025 0.000 9.068 2.025 0.000 -2.282 0.000 8.076" Properties=species:S:1:pos:R:3 pbc="T T T"
Pm 2.255 0.000 2.684
Pm 13.599 0.000 5.392
Pr 9.068 0.000 0.000
Tm 1.103 0.000 6.727
Tm 7.927 0.000 4.038
Tm 14.751 0.000 1.349
Se -1.614 0.000 5.945
Se 3.830 0.000 7.479
Se 5.183 0.000 3.285
Se 10.671 0.000 4.792
Se 12.024 0.000 0.597
Se 17.468 0.000 2.131
```

Principal peaks in the range 5 to 70 degrees two-theta, low angle first:
d = 3.471 Å, 25.66°, intensity 6.0
d = 3.328 Å, 26.79°, intensity 14.9
d = 2.912 Å, 30.71°, intensity 100.0
d = 2.096 Å, 43.16°, intensity 12.7
d = 2.089 Å, 43.31°, intensity 25.2
d = 2.028 Å, 44.69°, intensity 35.8
d = 1.749 Å, 52.30°, intensity 3.5
d = 1.736 Å, 52.74°, intensity 6.7
d = 1.668 Å, 55.07°, intensity 6.4
d = 1.662 Å, 55.27°, intensity 12.6
d = 1.457 Å, 63.92°, intensity 8.0
d = 1.454 Å, 64.02°, intensity 3.9



11.
Structure and calculated PXRD pattern of Rb3Np2I9 (the PBE geometry in Alexandria; Cu Kα, 1.54184 Å).

Cell and atoms:
```
28
Lattice="7.473 4.315 7.099 -7.473 4.315 7.099 0.000 -8.629 7.099" Properties=species:S:1:pos:R:3 pbc="T T T"
Rb -5.098 -0.201 8.874
Rb -2.375 -4.516 12.423
Rb 2.723 -4.315 8.874
Rb -2.723 4.315 12.423
Rb 2.375 4.516 8.874
Rb 5.098 0.201 12.423
Np 0.000 0.000 3.248
Np 0.000 0.000 7.400
Np 0.000 0.000 13.896
Np 0.000 0.000 18.049
I -1.527 -6.425 8.923
I -6.328 -1.890 12.373
I -2.390 0.000 5.324
I -1.527 -2.204 8.824
I 1.195 -2.070 5.324
I -4.801 4.535 8.923
I 1.195 2.070 5.324
I -2.672 0.221 12.473
I -1.145 2.425 8.824
I 1.145 -2.425 12.473
I 2.672 -0.221 8.824
I -1.195 -2.070 15.973
I 4.801 -4.535 12.373
I -1.195 2.070 15.973
I 1.527 2.204 12.473
I 2.390 0.000 15.973
I 6.328 1.890 8.923
I 1.527 6.425 12.373
```

Principal peaks in the range 5 to 70 degrees two-theta, low angle first:
d = 8.223 Å, 10.76°, intensity 14.9
d = 7.473 Å, 11.84°, intensity 52.8
d = 3.549 Å, 25.09°, intensity 14.9
d = 3.307 Å, 26.97°, intensity 100.0
d = 2.977 Å, 30.02°, intensity 11.1
d = 2.825 Å, 31.68°, intensity 17.9
d = 2.741 Å, 32.67°, intensity 11.8
d = 2.573 Å, 34.86°, intensity 42.6
d = 2.157 Å, 41.88°, intensity 32.4
d = 1.999 Å, 45.37°, intensity 23.6
d = 1.807 Å, 50.51°, intensity 13.2
d = 1.371 Å, 68.46°, intensity 10.9



12.
Structure and calculated PXRD pattern of Ac3Pr3Sn4 (the PBE geometry in Alexandria; Cu Kα, 1.54184 Å).

Cell and atoms:
```
10
Lattice="4.504 0.000 0.000 0.000 6.252 6.102 0.000 -6.252 6.102" Properties=species:S:1:pos:R:3 pbc="T T T"
Ac 0.000 0.000 0.000
Ac 2.252 -3.131 5.129
Ac 2.252 3.131 5.129
Pr 0.000 0.000 4.142
Pr 0.000 -2.115 8.150
Pr 0.000 2.115 8.150
Sn 2.252 -1.634 2.127
Sn 2.252 1.634 2.127
Sn 2.252 0.000 6.612
Sn 2.252 0.000 9.590
```

Principal peaks in the range 5 to 70 degrees two-theta, low angle first:
d = 3.654 Å, 24.36°, intensity 18.6
d = 3.134 Å, 28.48°, intensity 100.0
d = 2.967 Å, 30.12°, intensity 82.7
d = 2.935 Å, 30.46°, intensity 80.1
d = 2.782 Å, 32.17°, intensity 50.3
d = 2.742 Å, 32.66°, intensity 49.9
d = 2.252 Å, 40.04°, intensity 35.1
d = 1.750 Å, 52.26°, intensity 26.3
d = 1.740 Å, 52.59°, intensity 26.6
d = 1.594 Å, 57.83°, intensity 17.6
d = 1.538 Å, 60.18°, intensity 16.6
d = 1.515 Å, 61.19°, intensity 12.1



13.
Structure and calculated PXRD pattern of Tb4Dy5Pu (the PBE geometry in Alexandria; Cu Kα, 1.54184 Å).

Cell and atoms:
```
10
Lattice="-5.429 5.429 2.715 5.429 -5.429 2.715 5.429 5.429 -2.715" Properties=species:S:1:pos:R:3 pbc="T T T"
Tb 3.528 0.000 0.000
Tb 7.330 0.000 0.000
Tb 0.000 3.528 0.000
Tb 0.000 7.330 0.000
Dy 0.000 0.000 0.000
Dy 3.433 3.433 0.000
Dy 1.996 -1.996 2.715
Dy -1.996 1.996 2.715
Dy 1.996 1.996 2.715
Pu 0.000 0.000 2.715
```

Principal peaks in the range 5 to 70 degrees two-theta, low angle first:
d = 7.677 Å, 11.53°, intensity 14.4
d = 3.619 Å, 24.60°, intensity 12.1
d = 3.433 Å, 25.95°, intensity 10.3
d = 3.011 Å, 29.66°, intensity 100.0
d = 2.715 Å, 32.99°, intensity 47.5
d = 2.633 Å, 34.04°, intensity 13.2
d = 2.559 Å, 35.06°, intensity 62.6
d = 1.862 Å, 48.91°, intensity 47.7
d = 1.810 Å, 50.43°, intensity 20.6
d = 1.619 Å, 56.88°, intensity 18.8
d = 1.551 Å, 59.61°, intensity 24.2
d = 1.506 Å, 61.59°, intensity 24.7